Record 1
Sc3Al3CuNi2: simulated powder diffractogram (Cu Ka), based on a crystal structure in OQMD, relaxed with PBE.
Neutral-atom scattering factors, no anomalous dispersion.

Structure:
abc: 6.8915 6.8915 3.5457
angles: 90.00 90.00 120.00
Space group P-62m (No. 189)
Inequivalent atoms, fractional coordinates:
Sc 0.0000 0.4136 0.0000 (multiplicity 3)
Al 0.0000 0.7457 0.5000 (multiplicity 3)
Cu 0.0000 0.0000 0.0000 (multiplicity 1)
Ni 0.3333 0.6667 0.5000 (multiplicity 2)

Main lines, most intense first (15° ≤ 2θ ≤ 90°):
| (hkl) | two_theta | I_rel |
| --- | --- | --- |
| 2 0 1 | 39.47 | 100.0 |
| 1 1 1 | 36.36 | 57.3 |
| 3 0 0 | 45.60 | 41.7 |
| 2 1 1 | 47.79 | 39.1 |
| 1 1 0 | 25.86 | 36.0 |
| 3 2 1 | 74.25 | 25.0 |
| 2 1 0 | 39.97 | 22.1 |
| 1 0 1 | 29.30 | 21.9 |


Record 2
AlCuP: simulated powder diffractogram (Cu Ka), based on a crystal structure in OQMD, relaxed with PBE.
Neutral-atom scattering factors, no anomalous dispersion.

Structure:
abc: 3.636 3.636 6.924
angles: 90.00 90.00 90.00
Space group P4_2/mmc (No. 131)
Inequivalent atoms, fractional coordinates:
Al 0.000 0.000 0.250 (multiplicity 2)
Cu 0.000 0.500 0.000 (multiplicity 2)
P 0.500 0.500 0.250 (multiplicity 2)

Main lines, most intense first (15° ≤ 2θ ≤ 90°):
| (hkl) | two_theta | I_rel |
| --- | --- | --- |
| 1 0 1 | 27.71 | 100.0 |
| 1 1 2 | 43.86 | 92.4 |
| 2 0 0 | 50.18 | 30.4 |
| 1 0 3 | 46.61 | 23.1 |
| 2 1 1 | 58.28 | 22.5 |
| 3 1 2 | 89.89 | 22.0 |
| 2 0 4 | 75.90 | 16.8 |
| 0 0 4 | 52.89 | 12.9 |


Record 3
AlCuPb3: simulated powder diffractogram (Cu Ka), based on a crystal structure in OQMD, relaxed with PBE.
Neutral-atom scattering factors, no anomalous dispersion.

Structure:
abc: 5.9867 5.9867 8.6484
angles: 90.00 90.00 120.00
Space group P-31m (No. 162)
Inequivalent atoms, fractional coordinates:
Al 0.3333 0.6667 0.0000 (multiplicity 2)
Cu 0.0000 0.0000 0.1313 (multiplicity 2)
Pb 0.0000 0.3532 0.3215 (multiplicity 6)

Main lines, most intense first (15° ≤ 2θ ≤ 90°):
| (hkl) | two_theta | I_rel |
| --- | --- | --- |
| 2 -1 1 | 31.63 | 100.0 |
| 1 1 2 | 36.51 | 55.1 |
| 2 -1 4 | 52.19 | 24.9 |
| 3 0 0 | 52.98 | 24.7 |
| 0 0 2 | 20.54 | 23.0 |
| 0 0 3 | 31.02 | 21.6 |
| 2 -1 3 | 43.59 | 18.8 |
| 3 0 3 | 62.68 | 16.7 |


Record 4
SmAlCu2Pd2: simulated powder diffractogram (Cu Ka), based on a crystal structure in OQMD, relaxed with PBE.
Neutral-atom scattering factors, no anomalous dispersion.

Structure:
abc: 5.334 8.954 4.285
angles: 90.00 90.00 90.00
Space group Cmmm (No. 65)
Inequivalent atoms, fractional coordinates:
Sm 0.000 0.000 0.000 (multiplicity 2)
Al 0.000 0.500 0.500 (multiplicity 2)
Cu 0.250 0.250 0.500 (multiplicity 4)
Pd 0.000 0.337 0.000 (multiplicity 4)

Main lines, most intense first (15° ≤ 2θ ≤ 90°):
| (hkl) | two_theta | I_rel |
| --- | --- | --- |
| 1 3 1 | 40.53 | 100.0 |
| 2 0 1 | 39.81 | 77.9 |
| 1 3 0 | 34.43 | 58.5 |
| 0 0 2 | 42.18 | 40.8 |
| 0 0 1 | 20.73 | 37.0 |
| 1 3 2 | 55.54 | 29.4 |
| 3 3 1 | 64.79 | 24.6 |
| 0 2 1 | 28.84 | 21.1 |


Record 5
TbAlCuPd: simulated powder diffractogram (Cu Ka), based on a crystal structure in OQMD, relaxed with PBE.
Neutral-atom scattering factors, no anomalous dispersion.

Structure:
abc: 4.3510 4.3510 8.9801
angles: 90.00 90.00 120.00
Space group P-3m1 (No. 164)
Inequivalent atoms, fractional coordinates:
Tb 0.3333 0.6667 0.2458 (multiplicity 2)
Al 0.0000 0.0000 0.0000 (multiplicity 1)
Al 0.0000 0.0000 0.5000 (multiplicity 1)
Cu 0.3333 0.6667 0.9274 (multiplicity 2)
Pd 0.3333 0.6667 0.5836 (multiplicity 2)

Main lines, most intense first (15° ≤ 2θ ≤ 90°):
| (hkl) | two_theta | I_rel |
| --- | --- | --- |
| 0 1 3 | 38.41 | 100.0 |
| 1 1 0 | 41.51 | 63.1 |
| 1 0 0 | 23.61 | 41.9 |
| 2 0 3 | 57.83 | 29.7 |
| 1 2 3 | 73.66 | 28.4 |
| 0 1 1 | 25.64 | 14.0 |
| 1 1 6 | 77.39 | 13.4 |
| 0 1 2 | 30.98 | 10.7 |


Record 6
Tb2Al2Cu3Pd: simulated powder diffractogram (Cu Ka), based on a crystal structure in OQMD, relaxed with PBE.
Neutral-atom scattering factors, no anomalous dispersion.

Structure:
abc: 4.3497 4.3497 8.8155
angles: 90.00 90.00 120.00
Space group P3m1 (No. 156)
Inequivalent atoms, fractional coordinates:
Tb 0.0000 0.0000 0.0000 (multiplicity 1)
Tb 0.3333 0.6667 0.4944 (multiplicity 1)
Al 0.6667 0.3333 0.2499 (multiplicity 1)
Al 0.6667 0.3333 0.7472 (multiplicity 1)
Cu 0.0000 0.0000 0.3251 (multiplicity 1)
Cu 0.0000 0.0000 0.6693 (multiplicity 1)
Cu 0.3333 0.6667 0.1727 (multiplicity 1)
Pd 0.3333 0.6667 0.8228 (multiplicity 1)

Main lines, most intense first (15° ≤ 2θ ≤ 90°):
| (hkl) | two_theta | I_rel |
| --- | --- | --- |
| 0 1 3 | 38.87 | 100.0 |
| 1 1 0 | 41.52 | 65.6 |
| 1 0 0 | 23.62 | 42.8 |
| 2 0 3 | 58.18 | 30.0 |
| 1 2 3 | 73.98 | 28.7 |
| 1 0 1 | 25.72 | 22.2 |
| 1 1 6 | 78.58 | 13.0 |
| 3 0 0 | 75.75 | 10.6 |


Record 7
PmAl6Cu6: simulated powder diffractogram (Cu Ka), based on a crystal structure in OQMD, relaxed with PBE.
Neutral-atom scattering factors, no anomalous dispersion.

Structure:
abc: 5.059 8.621 8.749
angles: 90.00 90.00 90.00
Space group Immm (No. 71)
Inequivalent atoms, fractional coordinates:
Pm 0.000 0.000 0.000 (multiplicity 2)
Al 0.000 0.000 0.350 (multiplicity 4)
Al 0.000 0.347 0.000 (multiplicity 4)
Al 0.000 0.500 0.295 (multiplicity 4)
Cu 0.000 0.268 0.500 (multiplicity 4)
Cu 0.250 0.250 0.250 (multiplicity 8)

Main lines, most intense first (15° ≤ 2θ ≤ 90°):
| (hkl) | two_theta | I_rel |
| --- | --- | --- |
| 0 0 4 | 41.24 | 100.0 |
| 2 2 0 | 41.41 | 80.7 |
| 1 2 1 | 29.07 | 73.1 |
| 0 4 4 | 60.26 | 40.0 |
| 0 4 0 | 41.92 | 37.2 |
| 2 2 2 | 46.52 | 34.2 |
| 1 3 2 | 41.63 | 30.0 |
| 0 2 0 | 20.61 | 18.9 |


Record 8
PmAl8Cu4: simulated powder diffractogram (Cu Ka), based on a crystal structure in OQMD, relaxed with PBE.
Neutral-atom scattering factors, no anomalous dispersion.

Structure:
abc: 8.824 8.824 5.155
angles: 90.00 90.00 90.00
Space group I4/mmm (No. 139)
Inequivalent atoms, fractional coordinates:
Pm 0.000 0.000 0.000 (multiplicity 2)
Al 0.000 0.220 0.500 (multiplicity 8)
Al 0.000 0.349 0.000 (multiplicity 8)
Cu 0.250 0.250 0.250 (multiplicity 8)

Main lines, most intense first (15° ≤ 2θ ≤ 90°):
| (hkl) | two_theta | I_rel |
| --- | --- | --- |
| 4 0 0 | 40.86 | 100.0 |
| 2 0 2 | 40.53 | 80.3 |
| 2 2 0 | 28.61 | 39.7 |
| 2 1 1 | 28.49 | 36.8 |
| 4 2 2 | 58.95 | 29.3 |
| 3 0 1 | 35.13 | 28.8 |
| 1 0 1 | 19.95 | 24.6 |
| 2 2 2 | 45.66 | 18.0 |


Number 4 is which compound? SmAlCu2Pd2